Record 1
Calculated powder XRD pattern
Compound: S3IO
Radiation: copper Kα
Structure: a cell relaxed with GGA-PBE

Structural model:
a = 4.4218 Å, b = 4.4218 Å, c = 4.4218 Å
α = 90.00°, β = 90.00°, γ = 90.00°
Space group Pm-3m (No. 221)
One atom of each set of equivalent atoms:
S: 0.0000 0.0000 0.5000 [3 per cell]
I: 0.5000 0.5000 0.5000 [1 per cell]
O: 0.0000 0.0000 0.0000 [1 per cell]

Main lines, low angle first (15 to 90 degrees two-theta):
- (1 0 0), 20.1 deg, intensity 371
- (1 1 0), 28.5 deg, intensity 719
- (1 1 1), 35.2 deg, intensity 1000
- (2 0 0), 40.8 deg, intensity 647
- (2 1 0), 45.9 deg, intensity 200
- (2 1 1), 50.6 deg, intensity 288
- (2 2 0), 59.1 deg, intensity 404
- (3 1 1), 70.7 deg, intensity 373
- (2 2 2), 74.3 deg, intensity 135
- (3 2 1), 81.4 deg, intensity 137

---

Record 2
Calculated powder XRD pattern
Compound: Nd2DyY5
Radiation: copper Kα
Structure: a cell relaxed with GGA-PBE

Structural model:
a = 7.3222 Å, b = 23.5279 Å, c = 6.1136 Å
α = 90.00°, β = 90.28°, γ = 90.00°
Space group Cc (No. 9)
One atom of each set of equivalent atoms:
Nd: 0.0000 0.0645 0.0000 [4 per cell]
Nd: 0.2484 0.1857 0.8328 [4 per cell]
Dy: 0.4976 0.0657 0.9979 [4 per cell]
Y: 0.2458 0.4376 0.9972 [4 per cell]
Y: 0.2480 0.3149 0.3338 [4 per cell]
Y: 0.2522 0.0632 0.4981 [4 per cell]
Y: 0.4974 0.3141 0.8340 [4 per cell]
Y: 0.4993 0.1861 0.3335 [4 per cell]

Main lines, low angle first (15 to 90 degrees two-theta):
- (0 0 2), 29.2 deg, intensity 228
- (2 2 -1), 29.4 deg, intensity 219
- (2 2 1), 29.5 deg, intensity 221
- (0 2 2), 30.2 deg, intensity 558
- (0 8 0), 30.4 deg, intensity 767
- (2 4 -1), 32.3 deg, intensity 1000
- (2 4 1), 32.4 deg, intensity 983
- (0 6 2), 37.3 deg, intensity 378
- (2 12 -1), 55.2 deg, intensity 416
- (4 8 0), 59.5 deg, intensity 301